Entry 1:
This entry pairs a crystal structure of TbThTePt with its theoretical PXRD pattern. Radiation: Cu Kα (λ = 1.5418 Å). Structure: a PBE-relaxed structure.
Kinematic intensities with the Lorentz-polarization factor, no thermal factor.

Main lines, sorted by position (15° ≤ 2θ ≤ 90°):
25.72°, I = 40, hkl 0 1 2; 29.13°, I = 9, hkl 1 0 4; 31.47°, I = 100, hkl 0 1 5; 37.05°, I = 33, hkl 1 0 7; 43.09°, I = 51, hkl 1 1 0; 47.04°, I = 21, hkl 1 0 10; 54.32°, I = 22, hkl 2 0 5; 66.35°, I = 16, hkl 1 1 12; 71.73°, I = 19, hkl 1 2 5; 79.00°, I = 9, hkl 3 0 0

Structural model:
a b c (Å): 4.1982 4.1982 22.8062
angles (deg): 90.00 90.00 120.00
Space group R3m (No. 160, hexagonal axes)
Asymmetric unit:
Tb 0.0000 0.0000 0.0000 x3
Th 0.0000 0.0000 0.8064 x3
Te 0.0000 0.0000 0.2381 x3
Pt 0.0000 0.0000 0.4044 x3

Entry 2:
This entry pairs a crystal structure of TbThPt10 with its theoretical PXRD pattern. Radiation: Cu Kα (λ = 1.5418 Å). Structure: a PBE-relaxed structure.
Kinematic intensities with the Lorentz-polarization factor, no thermal factor.

Main lines, sorted by position (15° ≤ 2θ ≤ 90°):
19.04°, I = 29, hkl 0 0 2; 27.68°, I = 23, hkl 1 1 1; 38.59°, I = 29, hkl 0 2 2; 39.02°, I = 50, hkl 1 2 0; 39.14°, I = 100, hkl 1 1 3; 40.45°, I = 51, hkl 2 0 0; 43.79°, I = 42, hkl 1 2 2; 63.32°, I = 25, hkl 1 3 3; 72.66°, I = 25, hkl 3 2 0; 84.11°, I = 26, hkl 2 2 6

Structural model:
a b c (Å): 4.460 5.395 9.296
angles (deg): 90.00 90.00 90.00
Space group Pmmm (No. 47)
Asymmetric unit:
Tb 0.000 0.000 0.000 x1
Th 0.000 0.500 0.500 x1
Pt 0.000 0.000 0.331 x2
Pt 0.000 0.500 0.166 x2
Pt 0.500 0.000 0.500 x1
Pt 0.500 0.251 0.250 x4
Pt 0.500 0.500 0.000 x1

Entry 3:
This entry pairs a crystal structure of TbTh2Pt3 with its theoretical PXRD pattern. Radiation: Cu Kα (λ = 1.5418 Å). Structure: a PBE-relaxed structure.
Kinematic intensities with the Lorentz-polarization factor, no thermal factor.

Main lines, sorted by position (15° ≤ 2θ ≤ 90°):
30.36°, I = 100, hkl 2 0 6; 43.09°, I = 13, hkl 0 0 12; 43.48°, I = 51, hkl 2 4 6; 43.84°, I = 12, hkl 4 0 0; 53.63°, I = 14, hkl 0 4 12; 54.27°, I = 13, hkl 4 4 0; 63.17°, I = 13, hkl 4 0 12; 71.70°, I = 24, hkl 4 4 12; 79.26°, I = 9, hkl 2 4 18; 80.32°, I = 9, hkl 6 4 6

Structural model:
a b c (Å): 8.261 11.769 25.194
angles (deg): 90.00 90.00 90.00
Space group Fddd (No. 70, origin choice 2)
Asymmetric unit:
Tb 0.125 0.125 0.042 x16
Th 0.125 0.125 0.376 x16
Th 0.125 0.125 0.542 x16
Pt 0.124 0.375 0.208 x32
Pt 0.124 0.375 0.375 x16

Entry 4:
This entry pairs a crystal structure of TbThPt with its theoretical PXRD pattern. Radiation: Cu Kα (λ = 1.5418 Å). Structure: a PBE-relaxed structure.
Kinematic intensities with the Lorentz-polarization factor, no thermal factor.

Main lines, sorted by position (15° ≤ 2θ ≤ 90°):
33.66°, I = 100, hkl 1 3 1; 34.84°, I = 26, hkl 2 0 0; 35.02°, I = 25, hkl 0 0 2; 46.01°, I = 8, hkl 1 5 1; 46.38°, I = 7, hkl 0 6 0; 50.23°, I = 18, hkl 2 0 2; 61.71°, I = 18, hkl 3 3 1; 61.95°, I = 18, hkl 1 3 3; 70.76°, I = 8, hkl 2 6 2; 83.59°, I = 8, hkl 3 3 3

Structural model:
a b c (Å): 5.150 11.747 5.124
angles (deg): 90.00 90.00 90.00
Space group Cmcm (No. 63)
Asymmetric unit:
Tb 0.000 0.108 0.250 x4
Th 0.000 0.398 0.250 x4
Pt 0.000 0.258 0.750 x4